1.
Diffraction record for Rb3WBr8. The X-ray powder pattern is calculated, not measured: it uses a DFT-relaxed cell (PBE, Alexandria) and copper Kα.

Structure:
```
Rb3WBr8
1.0
10.3404 0.0000 0.0000
-5.1702 8.9550 0.0000
0.0000 0.0000 9.7696
Rb W Br
6 2 16
direct
0.1518 0.3037 0.0000
0.1518 0.8482 0.0000
0.3037 0.1518 0.5000
0.6963 0.8482 0.0000
0.8482 0.1518 0.5000
0.8482 0.6963 0.5000
0.3333 0.6667 0.5502
0.6667 0.3333 0.0502
0.0000 0.0000 0.2412
0.0000 0.0000 0.7412
0.1042 0.5521 0.6951
0.2189 0.4378 0.3966
0.2189 0.7811 0.3966
0.3333 0.6667 0.0433
0.4378 0.2189 0.8966
0.4479 0.5521 0.6951
0.4479 0.8958 0.6951
0.5521 0.1042 0.1951
0.5521 0.4479 0.1951
0.5622 0.7811 0.3966
0.6667 0.3333 0.5433
0.7811 0.2189 0.8966
0.7811 0.5622 0.8966
0.8958 0.4479 0.1951
```

Most intense lines, 2θ = 10–90°, most intense first:
two_theta  I_rel
27.01  100.0
13.41  61.8
31.33  43.9
34.70  43.5
21.84  43.4
17.15  40.3
32.17  39.9
34.04  27.5



2.
Diffraction record for Sr2LaSc2. The X-ray powder pattern is calculated, not measured: it uses a DFT-relaxed cell (PBE, Alexandria) and copper Kα.

Structure:
```
Sr2LaSc2
1.0
9.5876 0.0000 0.0000
0.0000 9.5876 0.0000
0.0000 0.0000 3.8852
Sr La Sc
4 2 4
direct
0.1330 0.3670 0.0000
0.3670 0.8670 0.0000
0.6330 0.1330 0.0000
0.8670 0.6330 0.0000
0.0000 0.0000 0.0000
0.5000 0.5000 0.0000
0.1667 0.6667 0.5000
0.3333 0.1667 0.5000
0.6667 0.8333 0.5000
0.8333 0.3333 0.5000
```

Most intense lines, 2θ = 10–90°, most intense first:
two_theta  I_rel
29.46  100.0
31.06  89.0
37.63  47.3
29.60  34.6
54.16  34.5
56.24  31.1
22.89  29.8
26.29  22.6



3.
Diffraction record for Ca3AlH. The X-ray powder pattern is calculated, not measured: it uses a DFT-relaxed cell (PBE, Alexandria) and copper Kα.

Structure:
```
Ca3AlH
1.0
-1.7620 5.2035 7.0190
1.7620 -5.2035 7.0190
1.7620 5.2035 -7.0190
Ca Al H
6 2 2
direct
0.1601 0.1601 0.0000
0.2054 0.8708 0.3347
0.4639 0.1292 0.3347
0.5361 0.8708 0.6653
0.7946 0.1292 0.6653
0.8399 0.8399 0.0000
0.1374 0.5000 0.6374
0.8626 0.5000 0.3626
0.3320 0.3320 0.0000
0.6680 0.6680 0.0000
```

Most intense lines, 2θ = 10–90°, most intense first:
two_theta  I_rel
31.79  100.0
32.12  91.3
36.34  89.6
44.84  38.7
25.38  38.2
26.47  30.8
26.07  27.7
62.93  23.4



4.
Diffraction record for Zr3PaSb. The X-ray powder pattern is calculated, not measured: it uses a DFT-relaxed cell (PBE, Alexandria) and copper Kα.

Structure:
```
Zr3PaSb
1.0
3.7302 0.0000 0.0000
1.8407 6.1550 0.0000
0.0452 0.5823 10.2474
Zr Pa Sb
6 2 2
direct
0.0503 0.3959 0.1490
0.2481 0.0106 0.7726
0.4402 0.6142 0.3528
0.5598 0.3858 0.6472
0.7519 0.9894 0.2274
0.9497 0.6041 0.8510
0.1387 0.1689 0.4519
0.8613 0.8311 0.5481
0.3717 0.7562 0.0577
0.6283 0.2438 0.9423
```

Most intense lines, 2θ = 10–90°, most intense first:
two_theta  I_rel
33.32  100.0
34.89  41.0
36.61  40.1
36.82  38.4
37.25  37.0
48.83  17.8
46.82  16.7
17.29  15.9



5.
Diffraction record for Rb2TmUSe6. The X-ray powder pattern is calculated, not measured: it uses a DFT-relaxed cell (PBE, Alexandria) and copper Kα.

Structure:
```
Rb2TmUSe6
1.0
7.7165 0.0000 0.0000
0.0000 10.9138 0.0000
0.0000 0.0000 7.7176
Rb Tm U Se
4 2 2 12
direct
0.2500 0.9997 0.2502
0.2500 0.5003 0.2502
0.7500 0.0003 0.7498
0.7500 0.4997 0.7498
0.2500 0.2500 0.7492
0.7500 0.7500 0.2507
0.2500 0.7500 0.7507
0.7500 0.2500 0.2493
0.0048 0.7500 0.5054
0.0047 0.7500 0.9959
0.2500 0.5048 0.7507
0.2500 0.9952 0.7507
0.4952 0.7500 0.5054
0.4953 0.7500 0.9959
0.5047 0.2500 0.0041
0.5048 0.2500 0.4946
0.7500 0.0048 0.2493
0.7500 0.4952 0.2493
0.9953 0.2500 0.0041
0.9952 0.2500 0.4946
```

Most intense lines, 2θ = 10–90°, most intense first:
two_theta  I_rel
32.83  100.0
23.05  73.6
47.11  72.2
16.24  72.1
36.83  38.9
40.49  34.5
78.37  32.6
87.60  25.4



6.
Diffraction record for HfPa2O7. The X-ray powder pattern is calculated, not measured: it uses a DFT-relaxed cell (PBE, Alexandria) and copper Kα.

Structure:
```
HfPa2O7
1.0
1.9166 1.1065 10.1504
-1.9166 1.1065 10.1504
0.0000 -2.2131 10.1504
Hf Pa O
1 2 7
direct
0.0000 0.0000 0.0000
0.4309 0.4309 0.4309
0.5691 0.5691 0.5691
0.0692 0.0692 0.0692
0.2225 0.2225 0.2225
0.3540 0.3540 0.3540
0.5000 0.5000 0.5000
0.6460 0.6460 0.6460
0.7775 0.7775 0.7775
0.9308 0.9308 0.9308
```

Most intense lines, 2θ = 10–90°, most intense first:
two_theta  I_rel
27.50  100.0
33.97  69.7
30.67  63.2
47.44  60.9
50.14  46.2
26.34  44.0
55.07  35.6
55.69  33.3